The following is a simulated X-ray powder pattern of LiCrSbF6. It was derived from a crystal structure in Alexandria, relaxed with GGA+U, using Cu Kα, 1.54184 Å.

The 10 most intense peaks (2θ from 10° to 90°), in order of falling intensity:
2θ = 25.5°, rel. 100
2θ = 19.9°, rel. 93
2θ = 49.1°, rel. 73
2θ = 31.8°, rel. 60
2θ = 30.9°, rel. 33
2θ = 17.2°, rel. 30
2θ = 41.8°, rel. 29
2θ = 62.6°, rel. 27
2θ = 36.7°, rel. 22
2θ = 52.4°, rel. 21

Structure:
```
data_LiCrSbF6
_space_group_name_H-M_alt 'C m m 2'
_space_group_IT_number 35
_cell_length_a 6.985
_cell_length_b 6.986
_cell_length_c 10.287
_cell_angle_alpha 90.00
_cell_angle_beta 90.00
_cell_angle_gamma 90.00
loop_
_space_group_symop_operation_xyz
'x,y,z'
'-x,-y,z'
'-x,y,z'
'x,-y,z'
'x+1/2,y+1/2,z'
'-x+1/2,-y+1/2,z'
'-x+1/2,y+1/2,z'
'x+1/2,-y+1/2,z'
loop_
_atom_site_label
_atom_site_fract_x
_atom_site_fract_y
_atom_site_fract_z
_atom_site_occupancy
Li1 0.000 0.000 0.000 1
Li2 0.000 0.500 0.500 1
Cr1 0.000 0.000 0.330 1
Cr2 0.000 0.500 0.830 1
Sb1 0.000 0.000 0.661 1
Sb2 0.000 0.500 0.162 1
F1 0.000 0.187 0.157 1
F2 0.000 0.194 0.502 1
F3 0.000 0.212 0.840 1
F4 0.187 0.500 0.655 1
F5 0.195 0.500 0.003 1
F6 0.212 0.500 0.340 1
```